1.
The following is a theoretical PXRD pattern of Na5WNO4. It was derived from a crystal structure in Alexandria, relaxed with PBE+U, using Cu Kα.
Intensities are scaled so that the largest is 100.

Structural model:
Cell: 5.793 5.793 10.749 Å, 90.00 90.00 60.56°
Element x y z (fractional)
Na 0.029 0.338 0.231
Na 0.089 0.911 0.500
Na 0.288 0.327 0.981
Na 0.327 0.288 0.481
Na 0.338 0.029 0.731
Na 0.662 0.971 0.231
Na 0.673 0.712 0.981
Na 0.712 0.673 0.481
Na 0.911 0.089 0.000
Na 0.971 0.662 0.731
W 0.292 0.708 0.216
W 0.708 0.292 0.716
N 0.404 0.596 0.684
N 0.596 0.404 0.184
O 0.031 0.695 0.101
O 0.091 0.638 0.346
O 0.305 0.969 0.101
O 0.362 0.909 0.346
O 0.638 0.091 0.846
O 0.695 0.031 0.601
O 0.909 0.362 0.846
O 0.969 0.305 0.601

Peak list (10 most intense, 10 to 90 degrees two-theta, low angle first)
| Position (°2θ) | intensity |
| --- | --- |
| 16.49 | 35 |
| 17.73 | 19 |
| 19.44 | 100 |
| 24.31 | 28 |
| 30.60 | 24 |
| 32.00 | 25 |
| 34.96 | 19 |
| 35.20 | 15 |
| 39.78 | 12 |
| 40.03 | 31 |

2.
The following is a theoretical PXRD pattern of Na3WNO3. It was derived from a crystal structure in Alexandria, relaxed with PBE+U, using Cu Kα.
Intensities are scaled so that the largest is 100.

Structural model:
Cell: 7.396 6.302 5.710 Å, 90.00 90.00 90.00°
Element x y z (fractional)
Na 0.000 0.165 0.000
Na 0.246 0.328 0.498
Na 0.254 0.672 0.998
Na 0.500 0.835 0.500
Na 0.746 0.672 0.998
Na 0.754 0.328 0.498
W 0.000 0.828 0.489
W 0.500 0.172 0.989
N 0.000 0.824 0.176
N 0.500 0.176 0.676
O 0.000 0.112 0.588
O 0.209 0.687 0.590
O 0.291 0.313 0.090
O 0.500 0.888 0.088
O 0.709 0.313 0.090
O 0.791 0.687 0.590

Peak list (10 most intense, 10 to 90 degrees two-theta, low angle first)
| Position (°2θ) | intensity |
| --- | --- |
| 18.50 | 83 |
| 19.64 | 100 |
| 20.99 | 63 |
| 24.07 | 25 |
| 27.98 | 33 |
| 31.33 | 38 |
| 32.15 | 72 |
| 32.45 | 31 |
| 49.93 | 25 |
| 60.11 | 36 |